No. 1
Starting from a DFT-relaxed cell (PBE, Alexandria), the powder diffractogram of BaLa2GeN4 was simulated for a wavelength of 1.5418 Å.
Intensities are scaled so that the largest is 100.

Cell and atoms:
Cell lengths 3.646, 12.793, 12.386 Å; angles 90.00, 90.00, 90.00 degrees
Space group Cmcm (No. 63)
Symmetry-distinct sites (fractional):
Ba 0.000 0.090 0.250 (multiplicity 4)
La 0.000 0.370 0.041 (multiplicity 8)
Ge 0.000 0.185 0.750 (multiplicity 4)
N 0.000 0.000 0.000 (multiplicity 4)
N 0.000 0.262 0.624 (multiplicity 8)
N 0.000 0.404 0.250 (multiplicity 4)

Largest 10 diffraction maxima, sorted by position, 10 to 90 degrees two-theta:
| 2theta | d/Å | I (rel.) | index |
| --- | --- | --- | --- |
| 25.68 | 3.469 | 52 | 0 2 3 |
| 27.90 | 3.198 | 39 | 0 4 0 |
| 28.83 | 3.097 | 60 | 0 0 4 |
| 29.27 | 3.051 | 100 | 1 1 2 |
| 33.13 | 2.704 | 51 | 1 3 1 |
| 35.49 | 2.529 | 70 | 1 3 2 |
| 44.80 | 2.023 | 19 | 1 1 5 |
| 48.75 | 1.868 | 20 | 1 5 3 |
| 49.34 | 1.847 | 31 | 1 3 5 |
| 50.03 | 1.823 | 20 | 2 0 0 |



No. 2
Starting from a DFT-relaxed cell (PBE, Alexandria), the powder diffractogram of PrHo2Sc2 was simulated for a wavelength of 1.5418 Å.
Intensities are scaled so that the largest is 100.

Cell and atoms:
Cell lengths 5.480, 6.779, 16.112 Å; angles 90.00, 90.00, 90.00 degrees
Space group Imma (No. 74)
Symmetry-distinct sites (fractional):
Pr 0.000 0.250 0.125 (multiplicity 4)
Ho 0.000 0.250 0.499 (multiplicity 4)
Ho 0.000 0.250 0.876 (multiplicity 4)
Sc 0.000 0.006 0.692 (multiplicity 8)

Largest 10 diffraction maxima, sorted by position, 10 to 90 degrees two-theta:
| 2theta | d/Å | I (rel.) | index |
| --- | --- | --- | --- |
| 23.19 | 3.836 | 61 | 1 0 3 |
| 26.29 | 3.390 | 37 | 0 2 0 |
| 28.57 | 3.124 | 23 | 0 2 2 |
| 32.23 | 2.778 | 68 | 1 0 5 |
| 32.68 | 2.740 | 46 | 2 0 0 |
| 35.34 | 2.540 | 100 | 1 2 3 |
| 42.05 | 2.149 | 26 | 1 2 5 |
| 52.88 | 1.731 | 23 | 0 2 8 |
| 60.06 | 1.541 | 21 | 3 2 3 |
| 63.56 | 1.464 | 26 | 2 2 8 |



No. 3
Starting from a DFT-relaxed cell (PBE, Alexandria), the powder diffractogram of SrNi2SbI was simulated for a wavelength of 1.5418 Å.
Intensities are scaled so that the largest is 100.

Cell and atoms:
Cell lengths 4.810, 4.810, 6.698 Å; angles 90.00, 90.00, 90.00 degrees
Space group P4/mmm (No. 123)
Symmetry-distinct sites (fractional):
Sr 0.000 0.000 0.000 (multiplicity 1)
Ni 0.000 0.500 0.500 (multiplicity 2)
Sb 0.000 0.000 0.500 (multiplicity 1)
I 0.500 0.500 0.000 (multiplicity 1)

Largest 10 diffraction maxima, sorted by position, 10 to 90 degrees two-theta:
| 2theta | d/Å | I (rel.) | index |
| --- | --- | --- | --- |
| 22.76 | 3.907 | 68 | 1 0 1 |
| 26.20 | 3.401 | 39 | 1 1 0 |
| 26.62 | 3.349 | 100 | 0 0 2 |
| 29.45 | 3.033 | 71 | 1 1 1 |
| 37.39 | 2.405 | 81 | 2 0 0 |
| 37.70 | 2.386 | 30 | 1 1 2 |
| 46.49 | 1.953 | 85 | 2 0 2 |
| 53.92 | 1.701 | 27 | 2 2 0 |
| 61.12 | 1.516 | 37 | 2 2 2 |
| 68.25 | 1.374 | 26 | 2 0 4 |



No. 4
Starting from a DFT-relaxed cell (PBE, Alexandria), the powder diffractogram of CaPr3Sm8 was simulated for a wavelength of 1.5418 Å.
Intensities are scaled so that the largest is 100.

Cell and atoms:
Cell lengths 8.826, 8.826, 12.067 Å; angles 90.00, 90.00, 90.00 degrees
Space group I-42m (No. 121)
Symmetry-distinct sites (fractional):
Ca 0.000 0.000 0.000 (multiplicity 2)
Pr 0.000 0.000 0.500 (multiplicity 2)
Pr 0.000 0.500 0.250 (multiplicity 4)
Sm 0.139 0.139 0.274 (multiplicity 8)
Sm 0.233 0.233 0.542 (multiplicity 8)

Largest 10 diffraction maxima, sorted by position, 10 to 90 degrees two-theta:
| 2theta | d/Å | I (rel.) | index |
| --- | --- | --- | --- |
| 12.43 | 7.124 | 39 | 1 0 1 |
| 23.72 | 3.751 | 67 | 2 1 1 |
| 25.00 | 3.562 | 44 | 2 0 2 |
| 28.61 | 3.120 | 69 | 2 2 0 |
| 29.61 | 3.017 | 44 | 0 0 4 |
| 31.76 | 2.817 | 47 | 2 1 3 |
| 32.98 | 2.716 | 44 | 1 1 4 |
| 35.44 | 2.533 | 100 | 3 1 2 |
| 43.68 | 2.072 | 32 | 4 0 2 |
| 56.39 | 1.632 | 37 | 3 1 6 |



No. 5
Starting from a DFT-relaxed cell (PBE, Alexandria), the powder diffractogram of Pm2Sm4DySc was simulated for a wavelength of 1.5418 Å.
Intensities are scaled so that the largest is 100.

Cell and atoms:
Cell lengths 5.062, 5.073, 10.080 Å; angles 90.00, 90.05, 90.00 degrees
Space group P2/m (No. 10)
Symmetry-distinct sites (fractional):
Pm 0.000 0.000 0.000 (multiplicity 1)
Pm 0.500 0.500 0.500 (multiplicity 1)
Sm 0.000 0.500 0.245 (multiplicity 2)
Sm 0.500 0.000 0.246 (multiplicity 2)
Dy 0.000 0.000 0.500 (multiplicity 1)
Sc 0.500 0.500 0.000 (multiplicity 1)

Largest 10 diffraction maxima, sorted by position, 10 to 90 degrees two-theta:
| 2theta | d/Å | I (rel.) | index |
| --- | --- | --- | --- |
| 30.61 | 2.920 | 100 | 1 1 2 |
| 35.43 | 2.534 | 34 | 2 0 0 |
| 35.63 | 2.520 | 17 | 0 0 4 |
| 50.97 | 1.792 | 12 | 2 2 0 |
| 51.12 | 1.787 | 24 | 2 0 4 |
| 60.62 | 1.528 | 21 | 1 3 2 |
| 60.70 | 1.526 | 7 | 3 1 2 |
| 60.91 | 1.521 | 14 | 1 1 6 |
| 63.74 | 1.460 | 12 | 2 2 4 |
| 83.31 | 1.160 | 9 | 1 3 6 |



No. 6
Starting from a DFT-relaxed cell (PBE, Alexandria), the powder diffractogram of HoTm2Cu6 was simulated for a wavelength of 1.5418 Å.
Intensities are scaled so that the largest is 100.

Cell and atoms:
Cell lengths 7.2996, 7.2996, 3.4890 Å; angles 90.00, 90.00, 120.00 degrees
Space group P6/mmm (No. 191)
Symmetry-distinct sites (fractional):
Ho 0.0000 0.0000 0.0000 (multiplicity 1)
Tm 0.3333 0.6667 0.0000 (multiplicity 2)
Cu 0.0000 0.3340 0.5000 (multiplicity 6)

Largest 10 diffraction maxima, sorted by position, 10 to 90 degrees two-theta:
| 2theta | d/Å | I (rel.) | index |
| --- | --- | --- | --- |
| 24.39 | 3.650 | 22 | 1 1 0 |
| 35.60 | 2.522 | 100 | 1 1 1 |
| 42.92 | 2.107 | 49 | 3 0 0 |
| 52.45 | 1.744 | 9 | 0 0 2 |
| 56.95 | 1.617 | 25 | 2 2 1 |
| 58.65 | 1.574 | 4 | 1 1 2 |
| 70.02 | 1.344 | 22 | 3 0 2 |
| 73.87 | 1.283 | 23 | 4 1 1 |
| 78.64 | 1.217 | 8 | 3 3 0 |
| 88.17 | 1.108 | 7 | 1 1 3 |